Structure and computed PXRD pattern of VCu6O8 (a PBE+U-relaxed structure; Cu Kα).
Kinematic intensities with the Lorentz-polarization factor, no thermal factor.

Peak list (12 most intense, 2θ = 10–90°, sorted by position)
| 2theta | I_rel |
| --- | --- |
| 16.31 | 16.8 |
| 22.31 | 14.0 |
| 26.34 | 14.4 |
| 35.89 | 83.8 |
| 38.05 | 100.0 |
| 41.15 | 36.6 |
| 42.12 | 10.9 |
| 59.29 | 18.4 |
| 60.09 | 14.9 |
| 60.35 | 21.2 |
| 63.71 | 22.8 |
| 69.13 | 17.9 |

Structural model:
abc: 7.4315 7.4315 10.1514
angles: 90.00 90.00 120.00
Space group R-3 (No. 148, hexagonal axes)
Symmetry-distinct sites (fractional):
V (0.0000, 0.0000, 0.0000) x3
Cu (0.0106, 0.7574, 0.7352) x18
O (0.0000, 0.0000, 0.3040) x6
O (0.0612, 0.5217, 0.7607) x18